[1]
Ta2CdPt3: theoretical PXRD pattern (Cu Kα X-rays), based on a crystal structure in Alexandria, relaxed with PBE.
Intensities are scaled so that the largest is 1000.

Main lines, sorted by position (15° ≤ 2θ ≤ 90°):
hkl 1 0 3, 2θ 38.30, rel. 1000
hkl 1 0 4, 2θ 43.17, rel. 18
hkl 0 0 6, 2θ 44.34, rel. 158
hkl 1 1 0, 2θ 44.61, rel. 332
hkl 1 0 5, 2θ 48.84, rel. 13
hkl 1 1 6, 2θ 64.72, rel. 207
hkl 2 0 0, 2θ 64.92, rel. 109
hkl 1 0 9, 2θ 77.58, rel. 115
hkl 2 1 3, 2θ 77.96, rel. 257
hkl 2 0 6, 2θ 82.01, rel. 108

Structural model:
```
data_Ta2CdPt3
_cell_length_a 2.8727
_cell_length_b 2.8727
_cell_length_c 12.2575
_cell_angle_alpha 90.00
_cell_angle_beta 90.00
_cell_angle_gamma 90.00
_symmetry_space_group_name_H-M 'P 4/m m m'
_symmetry_Int_Tables_number 123
_symmetry_space_group_name_Hall '-P 4 2'
loop_
_atom_site_label
_atom_site_fract_x
_atom_site_fract_y
_atom_site_fract_z
Ta1 0.0000 0.0000 0.1666
Cd1 0.0000 0.0000 0.5000
Pt1 0.5000 0.5000 0.0000
Pt2 0.5000 0.5000 0.3224
```

[2]
Na2InSnTe4: theoretical PXRD pattern (Cu Kα X-rays), based on a crystal structure in Alexandria, relaxed with PBE.
Intensities are scaled so that the largest is 1000.

Main lines, sorted by position (15° ≤ 2θ ≤ 90°):
hkl 0 2 1, 2θ 22.34, rel. 1000
hkl 1 3 -2, 2θ 34.95, rel. 75
hkl 0 0 2, 2θ 35.30, rel. 272
hkl 2 4 0, 2θ 37.65, rel. 473
hkl 4 2 -1, 2θ 42.18, rel. 340
hkl 0 6 1, 2θ 46.19, rel. 142
hkl 4 0 0, 2θ 50.79, rel. 88
hkl 4 6 -3, 2θ 59.44, rel. 122
hkl 6 4 -4, 2θ 64.92, rel. 160
hkl 0 8 2, 2θ 69.46, rel. 73

Structural model:
```
data_Na2InSnTe4
_cell_length_a 10.1677
_cell_length_b 12.7871
_cell_length_c 7.1900
_cell_angle_alpha 90.00
_cell_angle_beta 134.98
_cell_angle_gamma 90.00
_symmetry_space_group_name_H-M 'C 1 2 1'
_symmetry_Int_Tables_number 5
loop_
_symmetry_equiv_pos_as_xyz
'x,y,z'
'-x,y,-z'
'x+1/2,y+1/2,z'
'-x+1/2,y+1/2,-z'
loop_
_atom_site_label
_atom_site_fract_x
_atom_site_fract_y
_atom_site_fract_z
Na1 0.0000 0.0000 0.0000
Na2 0.0000 0.2497 0.5000
In1 0.0000 0.4995 0.0000
Sn1 0.0000 0.7496 0.5000
Te1 0.2233 0.6220 0.4650
Te2 0.2419 0.3772 0.0184
```

[3]
HOsRh2W: theoretical PXRD pattern (Cu Kα X-rays), based on a crystal structure in Alexandria, relaxed with PBE.
Intensities are scaled so that the largest is 1000.

Main lines, sorted by position (15° ≤ 2θ ≤ 90°):
hkl 0 0 1, 2θ 21.72, rel. 79
hkl 1 1 0, 2θ 32.93, rel. 61
hkl 1 1 1, 2θ 39.79, rel. 1000
hkl 0 0 2, 2θ 44.28, rel. 186
hkl 2 0 0, 2θ 47.26, rel. 309
hkl 2 0 2, 2θ 66.76, rel. 219
hkl 2 2 0, 2θ 69.06, rel. 99
hkl 1 1 3, 2θ 78.45, rel. 138
hkl 3 1 1, 2θ 82.77, rel. 243
hkl 2 2 2, 2θ 85.79, rel. 113

Structural model:
```
data_HOsRh2W
_cell_length_a 3.8470
_cell_length_b 3.8470
_cell_length_c 4.0910
_cell_angle_alpha 90.00
_cell_angle_beta 90.00
_cell_angle_gamma 90.00
_symmetry_space_group_name_H-M 'P 4/m m m'
_symmetry_Int_Tables_number 123
_symmetry_space_group_name_Hall '-P 4 2'
loop_
_atom_site_label
_atom_site_fract_x
_atom_site_fract_y
_atom_site_fract_z
H1 0.0000 0.0000 0.0000
Os1 0.5000 0.5000 0.5000
Rh1 0.0000 0.5000 0.0000
W1 0.0000 0.0000 0.5000
```

[4]
Ce8Zn2Ir3: theoretical PXRD pattern (Cu Kα X-rays), based on a crystal structure in Alexandria, relaxed with PBE.
Intensities are scaled so that the largest is 1000.

Main lines, sorted by position (15° ≤ 2θ ≤ 90°):
hkl 3 1 1, 2θ 29.46, rel. 365
hkl 4 0 -2, 2θ 29.98, rel. 746
hkl 2 2 1, 2θ 32.87, rel. 1000
hkl 1 3 0, 2θ 37.72, rel. 367
hkl 7 1 -1, 2θ 42.43, rel. 189
hkl 6 2 -1, 2θ 42.79, rel. 298
hkl 4 0 2, 2θ 43.86, rel. 175
hkl 2 2 -3, 2θ 47.29, rel. 397
hkl 5 3 -2, 2θ 50.90, rel. 204
hkl 0 0 4, 2θ 57.85, rel. 169

Structural model:
```
data_Ce8Zn2Ir3
_cell_length_a 15.6095
_cell_length_b 7.2527
_cell_length_c 6.8169
_cell_angle_alpha 90.00
_cell_angle_beta 110.79
_cell_angle_gamma 90.00
_symmetry_space_group_name_H-M 'C 1 2/m 1'
_symmetry_Int_Tables_number 12
loop_
_symmetry_equiv_pos_as_xyz
'x,y,z'
'-x,-y,-z'
'-x,y,-z'
'x,-y,z'
'x+1/2,y+1/2,z'
'-x+1/2,-y+1/2,-z'
'-x+1/2,y+1/2,-z'
'x+1/2,-y+1/2,z'
loop_
_atom_site_label
_atom_site_fract_x
_atom_site_fract_y
_atom_site_fract_z
Ce1 0.0992 0.2072 0.2447
Ce2 0.1011 0.5000 0.7400
Ce3 0.1599 0.0000 0.7970
Zn1 0.2327 0.5000 0.5083
Ir1 0.0000 0.1972 0.5000
Ir2 0.0000 0.5000 0.0000
```

[5]
Mn3Fe6Si: theoretical PXRD pattern (Cu Kα X-rays), based on a crystal structure in Alexandria, relaxed with PBE.
Intensities are scaled so that the largest is 1000.

Main lines, sorted by position (15° ≤ 2θ ≤ 90°):
hkl 2 0 -1, 2θ 39.94, rel. 258
hkl 1 3 1, 2θ 43.02, rel. 417
hkl 0 3 2, 2θ 43.69, rel. 425
hkl 1 3 -2, 2θ 43.91, rel. 1000
hkl 1 1 2, 2θ 44.14, rel. 449
hkl 2 1 -2, 2θ 44.81, rel. 444
hkl 1 1 -3, 2θ 45.61, rel. 292
hkl 1 4 0, 2θ 46.35, rel. 293
hkl 2 2 0, 2θ 47.32, rel. 280
hkl 2 1 1, 2θ 51.24, rel. 238

Structural model:
```
data_Mn3Fe6Si
_cell_length_a 4.5182
_cell_length_b 8.8187
_cell_length_c 6.1815
_cell_angle_alpha 90.00
_cell_angle_beta 109.13
_cell_angle_gamma 90.00
_symmetry_space_group_name_H-M 'P 1 21 1'
_symmetry_Int_Tables_number 4
loop_
_symmetry_equiv_pos_as_xyz
'x,y,z'
'-x,y+1/2,-z'
loop_
_atom_site_label
_atom_site_fract_x
_atom_site_fract_y
_atom_site_fract_z
Mn1 0.0520 0.0000 0.1116
Mn2 0.3229 0.8793 0.5204
Mn3 0.4458 0.0547 0.8888
Fe1 0.1409 0.7047 0.2290
Fe2 0.1673 0.1669 0.4796
Fe3 0.2212 0.7744 0.8785
Fe4 0.2793 0.2789 0.1197
Fe5 0.3621 0.3494 0.7670
Fe6 0.3999 0.5961 0.6511
Si1 0.1103 0.4571 0.3371
```

[6]
GaHgMo: theoretical PXRD pattern (Cu Kα X-rays), based on a crystal structure in Alexandria, relaxed with PBE.
Intensities are scaled so that the largest is 1000.

Main lines, sorted by position (15° ≤ 2θ ≤ 90°):
hkl 0 1 -1, 2θ 28.74, rel. 249
hkl 0 0 4, 2θ 28.85, rel. 273
hkl 1 0 1, 2θ 29.07, rel. 555
hkl 0 1 -2, 2θ 31.25, rel. 463
hkl 1 0 2, 2θ 31.86, rel. 635
hkl 0 0 5, 2θ 36.28, rel. 262
hkl 1 -1 0, 2θ 39.97, rel. 1000
hkl 1 0 -4, 2θ 40.12, rel. 701
hkl 0 1 4, 2θ 41.11, rel. 433
hkl 0 2 0, 2θ 57.81, rel. 322

Structural model:
```
data_GaHgMo
_cell_length_a 3.1901
_cell_length_b 3.1908
_cell_length_c 12.3867
_cell_angle_alpha 91.23
_cell_angle_beta 91.44
_cell_angle_gamma 90.02
_symmetry_space_group_name_H-M 'P -1'
_symmetry_Int_Tables_number 2
loop_
_symmetry_equiv_pos_as_xyz
'x,y,z'
'-x,-y,-z'
loop_
_atom_site_label
_atom_site_fract_x
_atom_site_fract_y
_atom_site_fract_z
Ga1 0.2319 0.2350 0.3230
Hg1 0.2802 0.2791 0.1013
Mo1 0.2554 0.2548 0.5583
```

[7]
PrDy3Co8: theoretical PXRD pattern (Cu Kα X-rays), based on a crystal structure in Alexandria, relaxed with PBE.
Intensities are scaled so that the largest is 1000.

Main lines, sorted by position (15° ≤ 2θ ≤ 90°):
hkl 0 1 2, 2θ 21.33, rel. 138
hkl 1 1 0, 2θ 35.18, rel. 648
hkl 1 0 10, 2θ 41.51, rel. 1000
hkl 0 2 4, 2θ 43.45, rel. 149
hkl 1 2 8, 2θ 63.11, rel. 179
hkl 3 0 6, 2θ 67.47, rel. 227
hkl 0 2 16, 2θ 74.32, rel. 110
hkl 2 2 0, 2θ 74.43, rel. 111
hkl 2 1 16, 2θ 85.03, rel. 106
hkl 1 3 10, 2θ 89.00, rel. 82

Structural model:
```
data_PrDy3Co8
_cell_length_a 5.0985
_cell_length_b 5.0985
_cell_length_c 25.0266
_cell_angle_alpha 90.00
_cell_angle_beta 90.00
_cell_angle_gamma 120.00
_symmetry_space_group_name_H-M 'R 3 m'
_symmetry_Int_Tables_number 160
_symmetry_space_group_name_Hall 'R 3 -2"'
loop_
_atom_site_label
_atom_site_fract_x
_atom_site_fract_y
_atom_site_fract_z
Pr1 0.0000 0.0000 0.0000
Dy1 0.0000 0.0000 0.3752
Dy2 0.0000 0.0000 0.4996
Dy3 0.0000 0.0000 0.8746
Co1 0.0000 0.0000 0.1871
Co2 0.0000 0.0000 0.6879
Co3 0.0041 0.5020 0.4389
Co4 0.1679 0.3358 0.2689
```

[8]
Ba5Tc: theoretical PXRD pattern (Cu Kα X-rays), based on a crystal structure in Alexandria, relaxed with PBE.
Intensities are scaled so that the largest is 1000.

Main lines, sorted by position (15° ≤ 2θ ≤ 90°):
hkl 1 1 0, 2θ 21.74, rel. 373
hkl 1 0 1, 2θ 22.14, rel. 136
hkl 1 1 1, 2θ 28.50, rel. 1000
hkl 2 1 0, 2θ 33.48, rel. 178
hkl 0 0 2, 2θ 36.88, rel. 147
hkl 3 0 0, 2θ 38.13, rel. 187
hkl 2 1 1, 2θ 38.37, rel. 203
hkl 1 1 2, 2θ 43.22, rel. 121
hkl 2 2 1, 2θ 48.28, rel. 174
hkl 3 0 2, 2θ 54.09, rel. 134

Structural model:
```
data_Ba5Tc
_cell_length_a 8.1758
_cell_length_b 8.1758
_cell_length_c 4.8742
_cell_angle_alpha 90.00
_cell_angle_beta 90.00
_cell_angle_gamma 120.00
_symmetry_space_group_name_H-M 'P -6 2 m'
_symmetry_Int_Tables_number 189
_symmetry_space_group_name_Hall 'P -6 -2'
loop_
_atom_site_label
_atom_site_fract_x
_atom_site_fract_y
_atom_site_fract_z
Ba1 0.0000 0.7455 0.0000
Ba2 0.3333 0.6667 0.5000
Tc1 0.0000 0.0000 0.5000
```

What is the formula in the sixth record? GaHgMo